# 1
PaCrH5: simulated powder diffraction line list (λ = 1.5418 Å (Cu Kα)), based on DFT lattice parameters and positions (PBE).

Crystal structure
```
PaCrH5
1.0
3.669 0.000 0.000
0.000 4.588 0.000
0.000 0.000 6.435
Pa Cr H
2 2 10
direct
0.000 0.000 0.000
0.500 0.500 0.500
0.000 0.000 0.500
0.500 0.500 0.000
0.000 0.274 0.327
0.000 0.274 0.673
0.000 0.500 0.000
0.000 0.726 0.327
0.000 0.726 0.673
0.500 0.000 0.500
0.500 0.226 0.173
0.500 0.226 0.827
0.500 0.774 0.173
0.500 0.774 0.827
```

Main lines, low angle first (2θ = 10–90°):
2θ = 23.82°, rel. 72; 2θ = 27.73°, rel. 68; 2θ = 28.00°, rel. 49; 2θ = 31.22°, rel. 100; 2θ = 39.27°, rel. 27; 2θ = 42.24°, rel. 89; 2θ = 48.75°, rel. 30; 2θ = 48.92°, rel. 24; 2θ = 66.68°, rel. 23; 2θ = 72.18°, rel. 19



# 2
CrHPd: simulated powder diffraction line list (λ = 1.5418 Å (Cu Kα)), based on DFT lattice parameters and positions (PBE).

Crystal structure
```
CrHPd
1.0
9.595 0.000 0.000
0.000 5.436 0.000
0.000 0.000 4.673
Cr H Pd
8 8 8
direct
0.088 0.124 0.100
0.088 0.876 0.600
0.412 0.376 0.600
0.412 0.624 0.100
0.588 0.376 0.900
0.588 0.624 0.400
0.912 0.124 0.400
0.912 0.876 0.900
0.217 0.090 0.388
0.217 0.910 0.888
0.283 0.410 0.888
0.283 0.590 0.388
0.717 0.410 0.612
0.717 0.590 0.112
0.783 0.090 0.112
0.783 0.910 0.612
0.126 0.375 0.602
0.126 0.625 0.102
0.374 0.125 0.102
0.374 0.875 0.602
0.626 0.125 0.398
0.626 0.875 0.898
0.874 0.375 0.898
0.874 0.625 0.398
```

Main lines, low angle first (2θ = 10–90°):
2θ = 31.38°, rel. 31; 2θ = 32.48°, rel. 32; 2θ = 37.49°, rel. 80; 2θ = 38.31°, rel. 73; 2θ = 39.49°, rel. 100; 2θ = 39.70°, rel. 69; 2θ = 48.05°, rel. 84; 2θ = 48.23°, rel. 58; 2θ = 54.68°, rel. 37; 2θ = 69.56°, rel. 29



# 3
PrCr2H8: simulated powder diffraction line list (λ = 1.5418 Å (Cu Kα)), based on DFT lattice parameters and positions (PBE).

Crystal structure
```
PrCr2H8
1.0
4.603 0.000 0.000
0.000 3.974 2.222
0.000 -3.974 2.222
Pr Cr H
1 2 8
direct
0.000 0.000 0.000
0.500 0.310 0.657
0.500 0.657 0.310
0.234 0.523 0.987
0.234 0.987 0.523
0.261 0.503 0.503
0.500 0.215 0.976
0.500 0.976 0.215
0.739 0.503 0.503
0.766 0.523 0.987
0.766 0.987 0.523
```

Main lines, low angle first (2θ = 10–90°):
2θ = 22.93°, rel. 22; 2θ = 29.70°, rel. 59; 2θ = 30.13°, rel. 100; 2θ = 39.14°, rel. 20; 2θ = 39.61°, rel. 39; 2θ = 40.61°, rel. 18; 2θ = 51.11°, rel. 25; 2θ = 56.90°, rel. 27; 2θ = 57.67°, rel. 13; 2θ = 65.59°, rel. 13



# 4
PrZnCrH6: simulated powder diffraction line list (λ = 1.5418 Å (Cu Kα)), based on DFT lattice parameters and positions (PBE).

Crystal structure
```
PrZnCrH6
1.0
4.519 0.000 0.000
-2.260 3.914 0.000
0.000 0.000 4.595
Pr Zn Cr H
1 1 1 6
direct
0.000 0.000 0.000
0.333 0.667 0.500
0.667 0.333 0.500
0.513 0.026 0.235
0.513 0.026 0.765
0.513 0.487 0.235
0.513 0.487 0.765
0.974 0.487 0.235
0.974 0.487 0.765
```

Main lines, low angle first (2θ = 10–90°):
2θ = 22.72°, rel. 14; 2θ = 29.99°, rel. 100; 2θ = 39.21°, rel. 13; 2θ = 39.90°, rel. 38; 2θ = 50.71°, rel. 23; 2θ = 57.18°, rel. 26; 2θ = 65.43°, rel. 10; 2θ = 66.39°, rel. 20; 2θ = 72.45°, rel. 6; 2θ = 85.62°, rel. 8



# 5
PuCr2H7: simulated powder diffraction line list (λ = 1.5418 Å (Cu Kα)), based on DFT lattice parameters and positions (PBE).

Crystal structure
```
PuCr2H7
1.0
2.688 -4.556 0.000
2.688 4.556 0.000
0.000 0.000 3.403
Pu Cr H
1 2 7
direct
0.000 0.000 0.000
0.311 0.689 0.500
0.689 0.311 0.500
0.038 0.322 0.500
0.269 0.731 0.000
0.322 0.038 0.500
0.500 0.500 0.500
0.678 0.962 0.500
0.731 0.269 0.000
0.962 0.678 0.500
```

Main lines, low angle first (2θ = 10–90°):
2θ = 19.17°, rel. 88; 2θ = 19.48°, rel. 26; 2θ = 32.66°, rel. 100; 2θ = 32.85°, rel. 62; 2θ = 33.33°, rel. 37; 2θ = 33.90°, rel. 66; 2θ = 47.50°, rel. 44; 2θ = 59.13°, rel. 19; 2θ = 60.11°, rel. 26; 2θ = 65.20°, rel. 20



# 6
RbCr2H8: simulated powder diffraction line list (λ = 1.5418 Å (Cu Kα)), based on DFT lattice parameters and positions (PBE).

Crystal structure
```
RbCr2H8
1.0
5.908 0.000 0.000
0.000 3.954 2.137
0.000 -3.954 2.137
Rb Cr H
1 2 8
direct
0.000 0.000 0.000
0.500 0.354 0.717
0.500 0.717 0.354
0.290 0.047 0.508
0.290 0.508 0.047
0.330 0.512 0.512
0.500 0.056 0.828
0.500 0.828 0.056
0.670 0.512 0.512
0.710 0.047 0.508
0.710 0.508 0.047
```

Main lines, low angle first (2θ = 10–90°):
2θ = 27.14°, rel. 80; 2θ = 28.13°, rel. 100; 2θ = 30.26°, rel. 44; 2θ = 40.20°, rel. 37; 2θ = 42.29°, rel. 17; 2θ = 50.97°, rel. 24; 2θ = 51.13°, rel. 37; 2θ = 52.45°, rel. 16; 2θ = 52.88°, rel. 17; 2θ = 64.81°, rel. 15